No. 1
Theoretical X-ray diffraction stick pattern
Compound: SmTmHg2
Radiation: Cu Kα (λ = 1.5418 Å)
Structure: a DFT-relaxed cell (PBE, the Materials Project)

Top 6 peaks for 2θ from 10° to 80°, most intense first:
2θ (°), I (rel.), index
33.86, 100.0, 2 2 0
60.57, 38.2, 4 2 2
48.63, 18.3, 4 0 0
71.23, 11.9, 4 4 0
23.76, 1.5, 2 0 0
54.82, 0.8, 4 2 0

Atomic structure:
a b c (Å): 7.4885 7.4885 7.4885
angles (deg): 90.00 90.00 90.00
Atoms (fractional coordinates):
Sm1 0.0000 0.0000 0.0000
Sm2 0.0000 0.5000 0.5000
Sm3 0.5000 0.0000 0.5000
Sm4 0.5000 0.5000 0.0000
Tm1 0.0000 0.0000 0.5000
Tm2 0.0000 0.5000 0.0000
Tm3 0.5000 0.0000 0.0000
Tm4 0.5000 0.5000 0.5000
Hg1 0.2500 0.2500 0.2500
Hg2 0.2500 0.2500 0.7500
Hg3 0.2500 0.7500 0.2500
Hg4 0.2500 0.7500 0.7500
Hg5 0.7500 0.2500 0.2500
Hg6 0.7500 0.2500 0.7500
Hg7 0.7500 0.7500 0.2500
Hg8 0.7500 0.7500 0.7500



No. 2
Theoretical X-ray diffraction stick pattern
Compound: SmYHg2
Radiation: Cu Kα (λ = 1.5418 Å)
Structure: a DFT-relaxed cell (PBE, the Materials Project)

Top 6 peaks for 2θ from 10° to 80°, most intense first:
2θ (°), I (rel.), index
33.60, 100.0, 2 2 0
60.08, 38.0, 4 2 2
48.26, 18.3, 4 0 0
70.63, 11.8, 4 4 0
23.59, 7.1, 2 0 0
54.39, 3.5, 4 2 0

Atomic structure:
a b c (Å): 7.5438 7.5438 7.5438
angles (deg): 90.00 90.00 90.00
Atoms (fractional coordinates):
Sm1 0.0000 0.0000 0.0000
Sm2 0.0000 0.5000 0.5000
Sm3 0.5000 0.0000 0.5000
Sm4 0.5000 0.5000 0.0000
Y1 0.0000 0.0000 0.5000
Y2 0.0000 0.5000 0.0000
Y3 0.5000 0.0000 0.0000
Y4 0.5000 0.5000 0.5000
Hg1 0.2500 0.2500 0.2500
Hg2 0.2500 0.2500 0.7500
Hg3 0.2500 0.7500 0.2500
Hg4 0.2500 0.7500 0.7500
Hg5 0.7500 0.2500 0.2500
Hg6 0.7500 0.2500 0.7500
Hg7 0.7500 0.7500 0.2500
Hg8 0.7500 0.7500 0.7500



No. 3
Theoretical X-ray diffraction stick pattern
Compound: Sm2ZnHg
Radiation: Cu Kα (λ = 1.5418 Å)
Structure: a DFT-relaxed cell (PBE, the Materials Project)

Top 6 peaks for 2θ from 10° to 80°, most intense first:
2θ (°), I (rel.), index
33.94, 100.0, 2 2 0
60.73, 37.4, 4 2 2
48.76, 18.1, 4 0 0
71.43, 11.6, 4 4 0
20.59, 11.2, 1 1 1
40.03, 6.6, 3 1 1

Atomic structure:
a b c (Å): 7.4706 7.4706 7.4706
angles (deg): 90.00 90.00 90.00
Atoms (fractional coordinates):
Sm1 0.2500 0.2500 0.2500
Sm2 0.2500 0.2500 0.7500
Sm3 0.2500 0.7500 0.2500
Sm4 0.2500 0.7500 0.7500
Sm5 0.7500 0.2500 0.2500
Sm6 0.7500 0.2500 0.7500
Sm7 0.7500 0.7500 0.2500
Sm8 0.7500 0.7500 0.7500
Zn1 0.0000 0.0000 0.0000
Zn2 0.0000 0.5000 0.5000
Zn3 0.5000 0.0000 0.5000
Zn4 0.5000 0.5000 0.0000
Hg1 0.0000 0.0000 0.5000
Hg2 0.0000 0.5000 0.0000
Hg3 0.5000 0.0000 0.0000
Hg4 0.5000 0.5000 0.5000



No. 4
Theoretical X-ray diffraction stick pattern
Compound: Sn3Hg
Radiation: Cu Kα (λ = 1.5418 Å)
Structure: a DFT-relaxed cell (PBE, the Materials Project)

Top 6 peaks for 2θ from 10° to 80°, most intense first:
2θ (°), I (rel.), index
34.55, 100.0, 2 0 1
33.30, 24.5, 0 0 2
30.15, 23.7, 2 0 0
64.54, 22.8, 2 2 2
60.31, 20.8, 2 0 3
53.55, 19.6, 2 2 0

Atomic structure:
a b c (Å): 6.8454 6.8454 5.3813
angles (deg): 90.00 90.00 120.00
Atoms (fractional coordinates):
Sn1 0.1663 0.3326 0.2500
Sn2 0.1663 0.8337 0.2500
Sn3 0.3326 0.1663 0.7500
Sn4 0.6674 0.8337 0.2500
Sn5 0.8337 0.1663 0.7500
Sn6 0.8337 0.6674 0.7500
Hg1 0.3333 0.6667 0.7500
Hg2 0.6667 0.3333 0.2500



No. 5
Theoretical X-ray diffraction stick pattern
Compound: Sr2SnHg
Radiation: Cu Kα (λ = 1.5418 Å)
Structure: a DFT-relaxed cell (PBE, the Materials Project)

Top 6 peaks for 2θ from 10° to 80°, most intense first:
2θ (°), I (rel.), index
31.23, 100.0, 2 2 0
55.57, 39.6, 4 2 2
44.74, 18.7, 4 0 0
74.00, 17.3, 6 2 0
65.13, 12.4, 4 4 0
21.94, 9.6, 2 0 0

Atomic structure:
a b c (Å): 8.1016 8.1016 8.1016
angles (deg): 90.00 90.00 90.00
Atoms (fractional coordinates):
Sr1 0.2500 0.2500 0.2500
Sr2 0.2500 0.2500 0.7500
Sr3 0.2500 0.7500 0.2500
Sr4 0.2500 0.7500 0.7500
Sr5 0.7500 0.2500 0.2500
Sr6 0.7500 0.2500 0.7500
Sr7 0.7500 0.7500 0.2500
Sr8 0.7500 0.7500 0.7500
Sn1 0.0000 0.0000 0.0000
Sn2 0.0000 0.5000 0.5000
Sn3 0.5000 0.0000 0.5000
Sn4 0.5000 0.5000 0.0000
Hg1 0.0000 0.0000 0.5000
Hg2 0.0000 0.5000 0.0000
Hg3 0.5000 0.0000 0.0000
Hg4 0.5000 0.5000 0.5000



No. 6
Theoretical X-ray diffraction stick pattern
Compound: Tl2SnHgTe4
Radiation: Cu Kα (λ = 1.5418 Å)
Structure: a DFT-relaxed cell (PBE, the Materials Project)

Top 6 peaks for 2θ from 10° to 80°, most intense first:
2θ (°), I (rel.), index
31.96, 100.0, 2 0 2
29.13, 50.7, 2 2 0
25.99, 40.2, 2 1 1
20.48, 21.7, 2 0 0
53.45, 21.4, 4 2 2
46.85, 19.8, 4 2 0

Atomic structure:
a b c (Å): 8.6719 8.6719 7.3368
angles (deg): 90.00 90.00 90.00
Atoms (fractional coordinates):
Tl1 0.0000 0.5000 0.0000
Tl2 0.0000 0.5000 0.5000
Tl3 0.5000 0.0000 0.0000
Tl4 0.5000 0.0000 0.5000
Sn1 0.0000 0.0000 0.0000
Sn2 0.5000 0.5000 0.5000
Hg1 0.0000 0.0000 0.5000
Hg2 0.5000 0.5000 0.0000
Te1 0.1805 0.1805 0.2380
Te2 0.1805 0.8195 0.7620
Te3 0.3195 0.3195 0.7380
Te4 0.3195 0.6805 0.2620
Te5 0.6805 0.3195 0.2620
Te6 0.6805 0.6805 0.7380
Te7 0.8195 0.1805 0.7620
Te8 0.8195 0.8195 0.2380